1.
Starting from a structure optimized by DFT (GGA-PBE), the powder XRD pattern of Ce2VP3Ir4 was computed for Cu Kα X-rays.
Neutral-atom scattering factors, no anomalous dispersion.

Structural model:
a b c (Å): 4.0598 4.0598 10.1550
angles (deg): 90.00 90.00 90.00
Space group P-4m2 (No. 115)
Asymmetric unit:
Ce 0.0000 0.5000 0.2465 [2 per cell]
V 0.0000 0.0000 0.5000 [1 per cell]
P 0.0000 0.5000 0.8637 [2 per cell]
P 0.5000 0.5000 0.5000 [1 per cell]
Ir 0.0000 0.0000 0.0000 [1 per cell]
Ir 0.0000 0.5000 0.6317 [2 per cell]
Ir 0.5000 0.5000 0.0000 [1 per cell]

Top 10 peaks for 10° ≤ 2θ ≤ 80°, sorted by position:
h k l, two_theta, d [Å], intensity
0 0 3, 26.3, 3.385, 25
1 0 2, 28.1, 3.171, 33
1 1 1, 32.4, 2.762, 55
1 0 3, 34.5, 2.600, 55
1 1 2, 35.9, 2.499, 100
2 0 0, 44.6, 2.030, 68
1 1 4, 47.8, 1.902, 28
1 0 5, 50.2, 1.816, 27
2 1 3, 57.6, 1.600, 25
2 2 0, 65.0, 1.435, 28

---

2.
Starting from a structure optimized by DFT (GGA-PBE), the powder XRD pattern of PPd6Pb2 was computed for Cu Kα X-rays.
Neutral-atom scattering factors, no anomalous dispersion.

Structural model:
a b c (Å): 3.8354 7.2571 12.2658
angles (deg): 90.00 90.00 90.00
Space group Immm (No. 71)
Asymmetric unit:
P 0.0000 0.0000 0.0000 [2 per cell]
Pd 0.0000 0.2072 0.1630 [8 per cell]
Pd 0.0000 0.3071 0.5000 [4 per cell]
Pb 0.0000 0.0000 0.3547 [4 per cell]

Top 10 peaks for 10° ≤ 2θ ≤ 80°, sorted by position:
h k l, two_theta, d [Å], intensity
0 1 3, 25.0, 3.562, 27
1 1 0, 26.3, 3.391, 41
1 2 1, 34.8, 2.577, 11
0 3 1, 37.9, 2.373, 23
1 1 4, 39.6, 2.274, 27
1 2 3, 40.7, 2.215, 100
0 3 3, 43.5, 2.082, 13
0 0 6, 44.3, 2.045, 25
2 0 0, 47.4, 1.918, 22
2 0 6, 66.9, 1.399, 12

---

3.
Starting from a structure optimized by DFT (GGA-PBE), the powder XRD pattern of AgI4N2 was computed for Cu Kα X-rays.
Neutral-atom scattering factors, no anomalous dispersion.

Structural model:
a b c (Å): 4.8990 6.3429 9.0121
angles (deg): 108.86 102.11 91.83
Space group P-1 (No. 2)
Asymmetric unit:
Ag 0.0000 0.0000 0.0000 [1 per cell]
I 0.1318 0.7396 0.3255 [2 per cell]
I 0.4992 0.7325 0.8680 [2 per cell]
N 0.4907 0.3616 0.6993 [2 per cell]

Top 10 peaks for 10° ≤ 2θ ≤ 80°, sorted by position:
h k l, two_theta, d [Å], intensity
0 0 1, 10.7, 8.294, 33
0 1 -2, 21.6, 4.119, 100
1 1 -1, 23.3, 3.810, 17
1 0 1, 23.6, 3.768, 18
1 1 0, 25.2, 3.541, 21
-1 1 1, 25.3, 3.514, 49
0 2 0, 29.9, 2.984, 18
1 -2 1, 33.5, 2.673, 42
2 0 -1, 36.8, 2.444, 18
1 2 1, 42.9, 2.107, 19

---

4.
Starting from a structure optimized by DFT (GGA-PBE), the powder XRD pattern of ScB2 was computed for Cu Kα X-rays.
Neutral-atom scattering factors, no anomalous dispersion.

Structural model:
a b c (Å): 3.1428 3.1428 3.5294
angles (deg): 90.00 90.00 120.00
Space group P6/mmm (No. 191)
Asymmetric unit:
Sc 0.0000 0.0000 0.0000 [1 per cell]
B 0.3333 0.6667 0.5000 [2 per cell]

Top 9 peaks for 10° ≤ 2θ ≤ 80°, sorted by position:
h k l, two_theta, d [Å], intensity
0 0 1, 25.2, 3.529, 18
1 0 0, 32.9, 2.722, 50
1 0 1, 41.9, 2.155, 100
0 0 2, 51.8, 1.765, 11
1 1 0, 58.8, 1.571, 21
1 0 2, 62.8, 1.481, 14
1 1 1, 65.0, 1.436, 8
2 0 0, 69.0, 1.361, 5
2 0 1, 74.8, 1.270, 15

---

- Number 1 is which compound?
  Ce2VP3Ir4